[1]
Starting from a DFT-relaxed cell (GGA-PBE, Alexandria), the powder diffractogram of Rb4Y3TlO8 was computed for copper Kα.
Intensities are scaled so that the largest is 100.

```
Rb4Y3TlO8
1.0
3.520 2.032 6.570
-3.520 2.032 6.570
0.000 -4.064 6.570
Rb Y Tl O
4 3 1 8
Direct
0.000 0.000 0.000
0.000 0.500 0.500
0.500 0.000 0.500
0.500 0.500 0.000
0.000 0.000 0.500
0.000 0.500 0.000
0.500 0.000 0.000
0.500 0.500 0.500
0.220 0.731 0.731
0.225 0.225 0.225
0.269 0.269 0.780
0.269 0.780 0.269
0.731 0.220 0.731
0.731 0.731 0.220
0.775 0.775 0.775
0.780 0.269 0.269
```

Principal peaks in the range 10° ≤ 2θ ≤ 90°, by angle:
2θ (°)  I/Imax
27.15  39
30.70  75
34.60  100
47.45  35
51.96  31
55.52  19
59.60  26
63.94  16

---

[2]
Starting from a DFT-relaxed cell (GGA-PBE, Alexandria), the powder diffractogram of Cs2Sn5Sb4 was computed for copper Kα.
Intensities are scaled so that the largest is 100.

```
Cs2Sn5Sb4
1.0
0.000 6.702 8.353
3.788 0.000 8.353
3.788 6.702 0.000
Cs Sn Sb
2 5 4
Direct
0.143 0.143 0.857
0.857 0.857 0.143
0.000 0.000 0.500
0.250 0.250 0.250
0.500 0.500 0.000
0.500 0.500 0.500
0.750 0.750 0.750
0.206 0.523 0.477
0.477 0.794 0.206
0.523 0.206 0.794
0.794 0.477 0.523
```

Principal peaks in the range 10° ≤ 2θ ≤ 90°, by angle:
2θ (°)  I/Imax
23.72  35
27.04  43
28.19  100
31.89  73
34.66  33
44.30  29
47.24  38
66.04  30

---

[3]
Starting from a DFT-relaxed cell (GGA-PBE, Alexandria), the powder diffractogram of Tb5AsP4 was computed for copper Kα.
Intensities are scaled so that the largest is 100.

```
Tb5AsP4
1.0
-2.025 2.863 10.127
2.025 -2.863 10.127
2.025 2.863 -10.127
Tb As P
5 1 4
Direct
0.000 0.000 0.000
0.200 0.200 0.000
0.397 0.397 0.000
0.603 0.603 0.000
0.800 0.800 0.000
0.500 0.000 0.500
0.100 0.600 0.500
0.299 0.799 0.500
0.701 0.201 0.500
0.900 0.400 0.500
```

Principal peaks in the range 10° ≤ 2θ ≤ 90°, by angle:
2θ (°)  I/Imax
26.96  67
31.23  100
44.75  73
53.02  33
55.58  26
71.84  13
74.01  33
82.50  25

---

[4]
Starting from a DFT-relaxed cell (GGA-PBE, Alexandria), the powder diffractogram of Y3Ho2Tm4 was computed for copper Kα.
Intensities are scaled so that the largest is 100.

```
Y3Ho2Tm4
1.0
8.272 -5.735 0.000
8.272 5.735 0.000
-0.723 0.000 5.890
Y Ho Tm
6 4 8
Direct
0.153 0.847 0.750
0.182 0.487 0.916
0.487 0.182 0.416
0.513 0.818 0.584
0.818 0.513 0.084
0.847 0.153 0.250
0.005 0.787 0.217
0.213 0.995 0.283
0.787 0.005 0.717
0.995 0.213 0.783
0.122 0.339 0.380
0.329 0.546 0.452
0.339 0.122 0.880
0.454 0.671 0.048
0.546 0.329 0.952
0.661 0.878 0.120
0.671 0.454 0.548
0.878 0.661 0.620
```

Principal peaks in the range 10° ≤ 2θ ≤ 90°, by angle:
2θ (°)  I/Imax
28.71  21
30.52  52
31.19  100
32.10  89
37.89  37
38.44  20
50.31  15
56.58  19

---

[5]
Starting from a DFT-relaxed cell (GGA-PBE, Alexandria), the powder diffractogram of MnSbW2 was computed for copper Kα.
Intensities are scaled so that the largest is 100.

```
MnSbW2
1.0
1.687 -2.365 0.000
1.687 2.365 0.000
0.000 0.000 8.499
Mn Sb W
1 1 2
Direct
0.000 0.000 0.000
0.500 0.500 0.749
0.000 0.000 0.473
0.500 0.500 0.228
```

Principal peaks in the range 10° ≤ 2θ ≤ 90°, by angle:
2θ (°)  I/Imax
10.41  32
34.31  11
38.04  27
39.04  100
42.55  18
58.38  14
69.40  18
75.52  12

---

[6]
Starting from a DFT-relaxed cell (GGA-PBE, Alexandria), the powder diffractogram of Sn2HgPd7 was computed for copper Kα.
Intensities are scaled so that the largest is 100.

```
Sn2HgPd7
1.0
-2.053 2.053 10.956
2.053 -2.053 10.956
2.053 2.053 -10.956
Sn Hg Pd
2 1 7
Direct
0.170 0.170 0.000
0.830 0.830 0.000
0.500 0.500 0.000
0.000 0.000 0.000
0.092 0.592 0.500
0.250 0.750 0.500
0.408 0.908 0.500
0.592 0.092 0.500
0.750 0.250 0.500
0.908 0.408 0.500
```

Principal peaks in the range 10° ≤ 2θ ≤ 90°, by angle:
2θ (°)  I/Imax
24.88  27
39.66  100
44.11  39
49.95  11
64.15  13
68.81  17
78.12  28
85.44  10

---

[7]
Starting from a DFT-relaxed cell (GGA-PBE, Alexandria), the powder diffractogram of NaSrCd was computed for copper Kα.
Intensities are scaled so that the largest is 100.

```
NaSrCd
1.0
-2.077 2.077 5.897
2.077 -2.077 5.897
2.077 2.077 -5.897
Na Sr Cd
1 1 1
Direct
0.000 0.000 0.000
0.297 0.297 0.000
0.635 0.635 0.000
```

Principal peaks in the range 10° ≤ 2θ ≤ 90°, by angle:
2θ (°)  I/Imax
15.02  24
22.69  27
30.42  56
31.32  100
34.09  13
43.55  25
54.63  40
56.31  16

---

[8]
Starting from a DFT-relaxed cell (GGA-PBE, Alexandria), the powder diffractogram of CeAg2S3 was computed for copper Kα.
Intensities are scaled so that the largest is 100.

```
CeAg2S3
1.0
2.753 -5.996 0.000
2.753 5.996 0.000
0.000 0.000 4.225
Ce Ag S
1 2 3
Direct
0.000 0.000 0.000
0.365 0.635 0.502
0.635 0.365 0.502
0.148 0.852 0.500
0.500 0.500 0.001
0.852 0.148 0.500
```

Principal peaks in the range 10° ≤ 2θ ≤ 90°, by angle:
2θ (°)  I/Imax
14.77  24
25.80  42
27.61  100
32.53  49
36.76  65
41.97  22
42.81  22
49.89  52

---

[9]
Starting from a DFT-relaxed cell (GGA-PBE, Alexandria), the powder diffractogram of LaZnSiPd6 was computed for copper Kα.
Intensities are scaled so that the largest is 100.

```
LaZnSiPd6
1.0
-3.198 4.637 5.700
3.198 -4.637 5.700
3.198 4.637 -5.700
La Zn Si Pd
2 2 2 12
Direct
0.424 0.174 0.250
0.576 0.826 0.750
0.000 0.000 0.500
0.000 0.500 0.000
0.000 0.500 0.500
0.500 0.500 0.000
0.120 0.357 0.218
0.120 0.902 0.763
0.179 0.929 0.250
0.313 0.563 0.750
0.361 0.098 0.718
0.361 0.643 0.263
0.639 0.357 0.737
0.639 0.902 0.282
0.687 0.437 0.250
0.821 0.071 0.750
0.880 0.098 0.237
0.880 0.643 0.782
```

Principal peaks in the range 10° ≤ 2θ ≤ 90°, by angle:
2θ (°)  I/Imax
30.59  25
31.39  23
34.06  100
35.83  46
37.03  29
38.84  60
45.56  23
46.99  61

---

[10]
Starting from a DFT-relaxed cell (GGA-PBE, Alexandria), the powder diffractogram of TbSm2Hg3 was computed for copper Kα.
Intensities are scaled so that the largest is 100.

```
TbSm2Hg3
1.0
5.339 0.000 0.000
-2.670 4.624 0.000
0.000 0.000 13.089
Tb Sm Hg
2 4 6
Direct
0.333 0.667 0.167
0.667 0.333 0.833
0.000 0.000 0.000
0.000 0.000 0.500
0.333 0.667 0.668
0.667 0.333 0.332
0.000 0.000 0.248
0.000 0.000 0.752
0.333 0.667 0.415
0.333 0.667 0.917
0.667 0.333 0.083
0.667 0.333 0.585
```

Principal peaks in the range 10° ≤ 2θ ≤ 90°, by angle:
2θ (°)  I/Imax
23.56  2
33.56  100
48.19  18
54.32  1
60.01  38
70.54  12
80.41  17
89.95  1

---

[11]
Starting from a DFT-relaxed cell (GGA-PBE, Alexandria), the powder diffractogram of Th4Si2PS was computed for copper Kα.
Intensities are scaled so that the largest is 100.

```
Th4Si2PS
1.0
7.206 0.000 0.000
0.000 4.204 0.000
-2.445 0.000 6.868
Th Si P S
4 2 1 1
Direct
0.248 0.000 0.247
0.251 0.500 0.753
0.749 0.500 0.247
0.752 0.000 0.753
0.500 0.000 0.000
0.500 0.500 0.500
0.000 0.500 0.000
0.000 0.000 0.500
```

Principal peaks in the range 10° ≤ 2θ ≤ 90°, by angle:
2θ (°)  I/Imax
25.98  82
26.26  27
30.17  100
43.00  38
43.36  37
51.09  28
53.43  20
70.90  18